Entry 1:
Zn13Mo: computed PXRD pattern (Cu Kα, 1.54184 Å), based on a crystal structure in OQMD, relaxed with GGA-PBE.
Intensities are scaled so that the largest is 100.

Largest 12 diffraction maxima, in order of falling intensity, 2θ from 15° to 90°:
2θ (°), I_rel
41.14, 100.0
40.89, 90.7
42.57, 73.6
42.20, 50.9
44.45, 42.4
41.68, 36.4
43.66, 33.8
72.84, 23.7
74.29, 22.1
35.26, 18.9
86.48, 16.1
47.27, 15.3

Atomic structure:
Unit cell a=6.608 b=6.608 c=5.244 alpha=98.50 beta=98.50 gamma=71.18
Positions (direct):
Zn1 0.000 0.000 0.000
Zn2 0.008 0.640 0.192
Zn3 0.223 0.625 0.683
Zn4 0.227 0.227 0.369
Zn5 0.360 0.992 0.808
Zn6 0.375 0.777 0.317
Zn7 0.384 0.384 0.054
Zn8 0.616 0.616 0.946
Zn9 0.625 0.223 0.683
Zn10 0.640 0.008 0.192
Zn11 0.773 0.773 0.631
Zn12 0.777 0.375 0.317
Zn13 0.992 0.360 0.808
Mo1 0.000 0.000 0.500

---

Entry 2:
Dy2Er2CI3Br2: computed PXRD pattern (Cu Kα, 1.54184 Å), based on a crystal structure in OQMD, relaxed with GGA-PBE.
Intensities are scaled so that the largest is 100.

Largest 12 diffraction maxima, in order of falling intensity, 2θ from 15° to 90°:
2θ (°), I_rel
31.28, 100.0
33.91, 45.8
29.71, 43.5
43.43, 24.9
43.92, 23.4
30.59, 20.0
46.71, 19.3
28.20, 17.4
56.34, 14.0
36.13, 13.8
42.86, 12.6
34.39, 12.5

Atomic structure:
Unit cell a=9.436 b=9.436 c=8.442 alpha=102.04 beta=102.04 gamma=23.78
Positions (direct):
Dy1 0.133 0.133 0.068
Dy2 0.867 0.867 0.932
Er1 0.500 0.500 0.189
Er2 0.500 0.500 0.811
C1 0.000 0.000 0.000
I1 0.000 0.000 0.500
I2 0.329 0.329 0.184
I3 0.671 0.671 0.816
Br1 0.343 0.343 0.677
Br2 0.657 0.657 0.323

---

Entry 3:
Tm2Re2O7: computed PXRD pattern (Cu Kα, 1.54184 Å), based on a crystal structure in OQMD, relaxed with GGA-PBE.
Intensities are scaled so that the largest is 100.

Largest 12 diffraction maxima, in order of falling intensity, 2θ from 15° to 90°:
2θ (°), I_rel
30.62, 100.0
30.29, 97.3
50.86, 59.0
35.21, 51.1
60.55, 43.9
59.97, 30.1
35.50, 26.3
50.22, 16.1
85.79, 14.9
60.73, 14.7
51.09, 13.8
82.60, 12.5

Atomic structure:
Unit cell a=7.181 b=7.181 c=7.181 alpha=90.45 beta=120.27 gamma=119.21
Positions (direct):
Tm1 0.000 0.000 0.000
Tm2 0.000 0.500 0.500
Tm3 0.502 0.498 0.504
Tm4 0.994 0.998 0.496
Re1 0.498 0.498 0.000
Re2 0.498 0.998 0.500
Re3 0.499 0.999 0.000
Re4 0.999 0.499 0.000
O1 0.150 0.749 0.901
O2 0.237 0.393 0.082
O3 0.237 0.655 0.343
O4 0.255 0.109 0.368
O5 0.255 0.387 0.647
O6 0.311 0.155 0.918
O7 0.311 0.893 0.657
O8 0.686 0.104 0.343
O9 0.686 0.843 0.083
O10 0.741 0.609 0.353
O11 0.741 0.887 0.632
O12 0.760 0.343 0.657
O13 0.760 0.604 0.917
O14 0.847 0.249 0.099

---

Entry 4:
La2GdNi2B2N3: computed PXRD pattern (Cu Kα, 1.54184 Å), based on a crystal structure in OQMD, relaxed with GGA-PBE.
Intensities are scaled so that the largest is 100.

Largest 12 diffraction maxima, in order of falling intensity, 2θ from 15° to 90°:
2θ (°), I_rel
27.70, 100.0
33.22, 64.9
36.39, 43.7
35.57, 42.7
49.37, 39.5
34.35, 37.8
62.86, 33.7
44.28, 31.6
39.03, 28.2
57.56, 28.1
60.81, 23.5
50.91, 20.2

Atomic structure:
Unit cell a=10.216 b=10.216 c=10.216 alpha=159.18 beta=159.18 gamma=29.61
Positions (direct):
La1 0.127 0.127 0.000
La2 0.873 0.873 0.000
Gd1 0.500 0.500 0.000
Ni1 0.250 0.750 0.500
Ni2 0.750 0.250 0.500
B1 0.304 0.304 0.000
B2 0.696 0.696 0.000
N1 0.000 0.000 0.000
N2 0.378 0.378 0.000
N3 0.622 0.622 0.000

---

Entry 5:
KTbGaSe3: computed PXRD pattern (Cu Kα, 1.54184 Å), based on a crystal structure in OQMD, relaxed with GGA-PBE.
Intensities are scaled so that the largest is 100.

Largest 12 diffraction maxima, in order of falling intensity, 2θ from 15° to 90°:
2θ (°), I_rel
31.65, 100.0
40.64, 77.8
28.25, 60.5
27.03, 47.1
39.56, 46.0
27.35, 37.6
32.62, 33.9
35.00, 31.0
53.82, 27.3
72.23, 25.5
41.42, 23.2
49.88, 22.1

Atomic structure:
Unit cell a=7.524 b=7.524 c=10.982 alpha=90.00 beta=90.00 gamma=144.75
Positions (direct):
K1 0.250 0.750 0.750
K2 0.750 0.250 0.250
Tb1 0.000 0.000 0.000
Tb2 0.000 0.000 0.500
Ga1 0.486 0.514 0.250
Ga2 0.514 0.486 0.750
Se1 0.067 0.933 0.250
Se2 0.377 0.623 0.067
Se3 0.377 0.623 0.433
Se4 0.623 0.377 0.567
Se5 0.623 0.377 0.933
Se6 0.933 0.067 0.750

---

Entry 6:
NbOF3: computed PXRD pattern (Cu Kα, 1.54184 Å), based on a crystal structure in OQMD, relaxed with GGA-PBE.
Intensities are scaled so that the largest is 100.

Largest 12 diffraction maxima, in order of falling intensity, 2θ from 15° to 90°:
2θ (°), I_rel
24.66, 100.0
25.84, 55.9
28.14, 55.8
44.92, 38.3
41.05, 36.8
15.52, 29.2
47.70, 19.1
54.42, 18.6
35.16, 18.4
67.60, 17.4
63.64, 16.0
56.40, 14.2

Atomic structure:
Unit cell a=8.072 b=8.072 c=3.813 alpha=90.00 beta=90.00 gamma=90.00
Positions (direct):
Nb1 0.151 0.349 0.279
Nb2 0.349 0.849 0.721
Nb3 0.651 0.151 0.721
Nb4 0.849 0.651 0.279
O1 0.127 0.373 0.757
O2 0.373 0.873 0.243
O3 0.627 0.127 0.243
O4 0.873 0.627 0.757
F1 0.110 0.610 0.253
F2 0.120 0.877 0.750
F3 0.123 0.120 0.250
F4 0.377 0.620 0.750
F5 0.380 0.377 0.250
F6 0.390 0.110 0.747
F7 0.610 0.890 0.747
F8 0.620 0.623 0.250
F9 0.623 0.380 0.750
F10 0.877 0.880 0.250
F11 0.880 0.123 0.750
F12 0.890 0.390 0.253

---

Entry 7:
CdCu2SiTeSe3: computed PXRD pattern (Cu Kα, 1.54184 Å), based on a crystal structure in OQMD, relaxed with GGA-PBE.
Intensities are scaled so that the largest is 100.

Largest 12 diffraction maxima, in order of falling intensity, 2θ from 15° to 90°:
2θ (°), I_rel
26.85, 100.0
26.52, 31.3
44.46, 31.0
44.95, 28.5
52.29, 16.3
43.71, 15.5
43.99, 15.0
35.33, 11.3
51.81, 11.0
53.65, 9.4
63.75, 8.4
52.11, 8.1

Atomic structure:
Unit cell a=5.840 b=5.840 c=6.943 alpha=114.50 beta=114.50 gamma=89.64
Positions (direct):
Cd1 0.000 0.000 0.000
Cu1 0.266 0.741 0.522
Cu2 0.741 0.266 0.522
Si1 0.482 0.482 0.001
Te1 0.858 0.858 0.281
Se1 0.138 0.584 0.744
Se2 0.397 0.397 0.268
Se3 0.584 0.138 0.744

---

Entry 8:
K3MoS4: computed PXRD pattern (Cu Kα, 1.54184 Å), based on a crystal structure in OQMD, relaxed with GGA-PBE.
Intensities are scaled so that the largest is 100.

Largest 12 diffraction maxima, in order of falling intensity, 2θ from 15° to 90°:
2θ (°), I_rel
32.76, 100.0
16.21, 85.8
22.88, 44.7
27.62, 32.2
23.13, 28.1
28.71, 27.7
33.52, 25.6
15.65, 24.3
53.14, 23.1
16.58, 22.3
52.78, 20.1
41.12, 18.6

Atomic structure:
Unit cell a=7.787 b=7.787 c=7.692 alpha=90.00 beta=90.00 gamma=93.28
Positions (direct):
K1 0.200 0.800 0.500
K2 0.247 0.309 0.491
K3 0.309 0.247 0.991
K4 0.691 0.753 0.491
K5 0.753 0.691 0.991
K6 0.800 0.200 0.000
Mo1 0.255 0.745 0.999
Mo2 0.745 0.255 0.499
S1 0.077 0.923 0.133
S2 0.100 0.558 0.831
S3 0.401 0.599 0.199
S4 0.442 0.900 0.831
S5 0.558 0.100 0.331
S6 0.599 0.401 0.699
S7 0.900 0.442 0.331
S8 0.923 0.077 0.633